This entry pairs a crystal structure of Mn7O12 with its calculated PXRD pattern. Radiation: λ = 1.5418 Å (Cu Kα). Structure: a structure optimized by DFT (PBE+U).
Intensities are scaled so that the largest is 100.

Atomic structure:
Unit cell a=6.392 b=6.392 c=6.392 alpha=109.47 beta=109.47 gamma=109.47
Fractional coordinates of all 19 atoms:
Mn1 0.000 0.000 0.500
Mn2 0.000 0.500 0.000
Mn3 0.000 0.500 0.500
Mn4 0.500 0.000 0.000
Mn5 0.500 0.000 0.500
Mn6 0.500 0.500 0.000
Mn7 0.500 0.500 0.500
O1 0.127 0.811 0.316
O2 0.189 0.316 0.506
O3 0.189 0.684 0.873
O4 0.316 0.127 0.811
O5 0.316 0.506 0.189
O6 0.494 0.811 0.684
O7 0.506 0.189 0.316
O8 0.684 0.494 0.811
O9 0.684 0.873 0.189
O10 0.811 0.316 0.127
O11 0.811 0.684 0.494
O12 0.873 0.189 0.684

Largest 10 diffraction maxima, in order of rising 2θ, 2θ from 5° to 70°:
| 2θ (°) | I/Imax |
| --- | --- |
| 16.99 | 27 |
| 24.11 | 8 |
| 29.65 | 11 |
| 34.36 | 100 |
| 38.57 | 11 |
| 46.01 | 7 |
| 49.39 | 30 |
| 52.61 | 5 |
| 58.67 | 4 |
| 61.55 | 52 |